Entry 1:
Diffraction record for BaMg14Zn. The PXRD pattern is theoretical, not measured: it uses a cell relaxed with PBE and a wavelength of 1.5418 Å.
Lines closer than 0.1° are merged.

Atomic structure:
```
BaMg14Zn
1.0
6.600 0.000 0.000
-3.300 5.716 0.000
0.000 0.000 10.515
Ba Mg Zn
1 14 1
Cartesian
0.000 0.000 0.000 Ba
-1.579 2.899 0.000 Mg
0.000 1.933 2.830 Mg
0.000 1.933 7.686 Mg
-1.626 4.749 2.830 Mg
-1.626 4.749 7.686 Mg
1.579 2.899 0.000 Mg
0.000 5.633 0.000 Mg
3.300 0.038 5.258 Mg
1.683 2.839 5.258 Mg
1.626 4.749 2.830 Mg
1.626 4.749 7.686 Mg
3.300 1.905 2.567 Mg
3.300 1.905 7.948 Mg
4.917 2.839 5.258 Mg
0.000 0.000 5.258 Zn
```

Principal peaks in the range 2θ = 10–80°, in order of falling intensity:
2θ = 35.8°, rel. 1000
2θ = 15.5°, rel. 348
2θ = 23.0°, rel. 309
2θ = 31.3°, rel. 289
2θ = 34.1°, rel. 236
2θ = 67.0°, rel. 184
2θ = 47.0°, rel. 180
2θ = 62.1°, rel. 179
2θ = 55.7°, rel. 175
2θ = 68.0°, rel. 141

***

Entry 2:
Diffraction record for ZnCuAs. The PXRD pattern is theoretical, not measured: it uses a cell relaxed with PBE and a wavelength of 1.5418 Å.
Lines closer than 0.1° are merged.

Atomic structure:
```
ZnCuAs
1.0
8.455 0.000 0.000
0.000 4.150 0.000
0.000 0.000 5.930
Zn Cu As
4 4 4
Cartesian
1.127 0.907 0.000 Zn
3.100 2.982 2.965 Zn
5.355 1.168 0.000 Zn
7.328 3.243 2.965 Zn
1.161 0.904 2.894 Cu
3.067 2.979 5.859 Cu
5.388 1.171 2.894 Cu
7.295 3.246 5.859 Cu
0.960 3.001 4.417 As
3.268 0.926 1.452 As
5.188 3.224 4.417 As
7.495 1.149 1.452 As
```

Principal peaks in the range 2θ = 10–80°, in order of falling intensity:
2θ = 43.2°, rel. 1000
2θ = 26.2°, rel. 289
2θ = 42.8°, rel. 253
2θ = 25.9°, rel. 229
2θ = 43.6°, rel. 222
2θ = 62.7°, rel. 214
2θ = 30.2°, rel. 175
2θ = 78.6°, rel. 135
2θ = 79.8°, rel. 111
2θ = 50.9°, rel. 84

***

Entry 3:
Diffraction record for TiCr2. The PXRD pattern is theoretical, not measured: it uses a cell relaxed with PBE and a wavelength of 1.5418 Å.
Lines closer than 0.1° are merged.

Atomic structure:
```
TiCr2
1.0
0.000 3.432 3.432
3.432 0.000 3.432
3.432 3.432 0.000
Ti Cr
2 4
Cartesian
0.858 0.858 0.858 Ti
6.006 6.006 6.006 Ti
3.432 1.716 1.716 Cr
1.716 3.432 1.716 Cr
1.716 1.716 3.432 Cr
3.432 3.432 3.432 Cr
```

Principal peaks in the range 2θ = 10–80°, in order of falling intensity:
2θ = 43.7°, rel. 1000
2θ = 45.8°, rel. 438
2θ = 71.4°, rel. 263
2θ = 37.0°, rel. 245
2θ = 78.9°, rel. 229
2θ = 22.4°, rel. 116
2θ = 66.8°, rel. 73
2θ = 53.4°, rel. 62
2θ = 58.6°, rel. 20

***

Entry 4:
Diffraction record for Sn4GeTe4Se. The PXRD pattern is theoretical, not measured: it uses a cell relaxed with PBE and a wavelength of 1.5418 Å.
Lines closer than 0.1° are merged.

Atomic structure:
```
Sn4GeTe4Se
1.0
2.205 1.273 18.402
-2.205 1.273 18.402
0.000 -2.546 18.402
Sn Ge Te Se
4 1 4 1
Cartesian
0.000 0.000 0.000 Sn
0.000 0.000 10.681 Sn
0.000 0.000 32.924 Sn
0.000 0.000 43.647 Sn
0.000 0.000 21.611 Ge
0.000 0.000 4.694 Te
0.000 0.000 16.242 Te
0.000 0.000 26.972 Te
0.000 0.000 49.202 Te
0.000 0.000 38.263 Se
```

Principal peaks in the range 2θ = 10–80°, in order of falling intensity:
2θ = 28.4°, rel. 1000
2θ = 40.9°, rel. 401
2θ = 40.3°, rel. 322
2θ = 50.6°, rel. 204
2θ = 67.0°, rel. 177
2θ = 58.8°, rel. 113
2θ = 74.1°, rel. 112
2θ = 66.1°, rel. 108
2θ = 74.5°, rel. 70
2θ = 36.3°, rel. 63

***

Entry 5:
Diffraction record for Eu2B2O5. The PXRD pattern is theoretical, not measured: it uses a cell relaxed with PBE and a wavelength of 1.5418 Å.
Lines closer than 0.1° are merged.

Atomic structure:
```
Eu2B2O5
1.0
7.771 0.000 0.000
0.000 5.368 0.000
-0.609 0.000 11.952
Eu B O
8 8 20
Cartesian
0.685 0.273 4.380 Eu
0.380 2.411 10.356 Eu
2.833 3.171 1.930 Eu
2.528 4.881 7.906 Eu
4.633 0.487 4.045 Eu
4.329 2.197 10.021 Eu
6.782 2.957 1.596 Eu
6.477 5.095 7.572 Eu
1.200 0.268 1.007 B
0.895 2.415 6.983 B
2.393 3.074 4.848 B
2.088 4.978 10.824 B
5.073 0.390 1.128 B
4.769 2.294 7.103 B
6.267 2.952 4.969 B
5.962 5.099 10.945 B
0.362 3.174 7.995 O
0.667 4.877 2.019 O
0.777 1.060 6.827 O
1.082 1.624 0.852 O
1.669 3.218 6.065 O
1.974 4.834 0.089 O
2.262 0.799 10.174 O
2.567 1.885 4.199 O
2.523 3.794 10.281 O
2.827 4.258 4.305 O
4.335 1.110 7.646 O
4.639 1.574 1.671 O
4.595 3.482 7.753 O
4.899 4.569 1.777 O
5.188 0.534 11.862 O
5.492 2.150 5.887 O
6.080 3.743 11.100 O
6.384 4.308 5.124 O
6.495 0.491 9.933 O
6.800 2.193 3.957 O
```

Principal peaks in the range 2θ = 10–80°, in order of falling intensity:
2θ = 29.7°, rel. 1000
2θ = 27.9°, rel. 890
2θ = 18.1°, rel. 722
2θ = 29.1°, rel. 625
2θ = 29.9°, rel. 518
2θ = 26.7°, rel. 517
2θ = 46.8°, rel. 498
2θ = 28.4°, rel. 329
2θ = 22.3°, rel. 319
2θ = 47.7°, rel. 302

***

Entry 6:
Diffraction record for CaGaSn. The PXRD pattern is theoretical, not measured: it uses a cell relaxed with PBE and a wavelength of 1.5418 Å.
Lines closer than 0.1° are merged.

Atomic structure:
```
CaGaSn
1.0
4.560 0.000 0.000
-2.280 3.949 0.000
0.000 0.000 17.288
Ca Ga Sn
4 4 4
Cartesian
0.000 0.000 0.000 Ca
0.000 0.000 4.322 Ca
0.000 0.000 8.644 Ca
0.000 0.000 12.966 Ca
0.000 2.633 2.857 Ga
0.000 2.633 5.787 Ga
2.280 1.316 11.501 Ga
2.280 1.316 14.431 Ga
0.000 2.633 10.581 Sn
0.000 2.633 15.351 Sn
2.280 1.316 1.937 Sn
2.280 1.316 6.707 Sn
```

Principal peaks in the range 2θ = 10–80°, in order of falling intensity:
2θ = 30.7°, rel. 1000
2θ = 39.5°, rel. 987
2θ = 27.4°, rel. 723
2θ = 43.2°, rel. 668
2θ = 20.6°, rel. 373
2θ = 45.0°, rel. 317
2θ = 74.2°, rel. 276
2θ = 60.0°, rel. 255
2θ = 50.8°, rel. 235
2θ = 63.7°, rel. 231

***

Entry 7:
Diffraction record for SrMg6W. The PXRD pattern is theoretical, not measured: it uses a cell relaxed with PBE and a wavelength of 1.5418 Å.
Lines closer than 0.1° are merged.

Atomic structure:
```
SrMg6W
1.0
5.130 0.000 0.000
0.000 6.473 0.000
0.000 0.000 11.315
Sr Mg W
2 12 2
Cartesian
0.000 0.000 0.000 Sr
0.000 3.237 5.658 Sr
0.000 0.000 5.683 Mg
0.000 1.479 8.562 Mg
0.000 1.757 2.905 Mg
0.000 3.237 0.025 Mg
0.000 4.716 2.905 Mg
0.000 4.994 8.562 Mg
2.565 0.000 3.775 Mg
2.565 1.523 6.711 Mg
2.565 1.714 1.053 Mg
2.565 3.237 9.433 Mg
2.565 4.759 1.053 Mg
2.565 4.950 6.711 Mg
2.565 0.000 9.306 W
2.565 3.237 3.649 W
```

Principal peaks in the range 2θ = 10–80°, in order of falling intensity:
2θ = 15.8°, rel. 1000
2θ = 36.5°, rel. 969
2θ = 23.4°, rel. 813
2θ = 32.6°, rel. 424
2θ = 36.3°, rel. 408
2θ = 35.0°, rel. 345
2θ = 38.6°, rel. 274
2θ = 15.7°, rel. 216
2θ = 31.9°, rel. 214
2θ = 63.7°, rel. 186